Computed powder diffraction line list of Ba6Pt for a wavelength of 1.5418 Å, from a GGA-PBE-relaxed structure.

Structure:
abc: 14.958 13.706 7.891
angles: 90.00 90.00 90.00
Space group Pnma (No. 62)
Symmetry-distinct sites (fractional):
Ba (0.002, 0.250, 0.236) (multiplicity 4)
Ba (0.006, 0.087, 0.751) (multiplicity 8)
Ba (0.245, 0.088, 0.082) (multiplicity 8)
Ba (0.249, 0.250, 0.596) (multiplicity 4)
Pt (0.125, 0.250, 0.916) (multiplicity 4)

Most intense lines, 10 to 90 degrees two-theta, low angle first:
2theta  I_rel  index
12.93  16  0 2 0
13.49  19  2 1 0
23.29  18  1 0 2
23.79  20  4 0 0
25.50  100  2 3 1
28.83  44  3 0 2
32.98  12  4 0 2
37.72  21  5 0 2
39.50  42  0 6 0
42.88  17  6 3 1
46.64  19  4 6 0
64.45  13  8 3 3